(1)
Starting from a DFT-relaxed cell (GGA-PBE, Alexandria), the powder X-ray diffraction pattern of Yb4Ir was simulated for CuKα.
Intensities are scaled so that the largest is 100.

Cell and atoms:
Cell lengths 11.1419, 11.1419, 11.1419 Å; angles 90.00, 90.00, 90.00 degrees
Space group Fd-3m (No. 227, origin choice 2)
Symmetry-distinct sites (fractional):
Yb: 0.0106 0.0106 0.2394 [32 per cell]
Ir: 0.1250 0.1250 0.6250 [8 per cell]

Principal peaks in the range 2θ from 10° to 90°, low angle first:
d/Å, two_theta, I (rel.), h k l
3.939, 22.57, 23, 2 2 0
3.359, 26.53, 9, 3 1 1
3.216, 27.74, 100, 2 2 2
2.785, 32.13, 26, 4 0 0
2.556, 35.11, 22, 3 3 1
2.144, 42.14, 19, 5 1 1
1.970, 46.08, 59, 4 4 0
1.680, 54.64, 40, 6 2 2
1.278, 74.20, 14, 6 6 2
1.137, 85.36, 16, 8 4 4



(2)
Starting from a DFT-relaxed cell (GGA-PBE, Alexandria), the powder X-ray diffraction pattern of Li6Ga12Rh was simulated for CuKα.
Intensities are scaled so that the largest is 100.

Cell and atoms:
Cell lengths 11.2470, 11.2470, 8.9201 Å; angles 90.00, 90.00, 120.00 degrees
Space group R-3 (No. 148, hexagonal axes)
Symmetry-distinct sites (fractional):
Li: 0.0421 0.1892 0.2532 [18 per cell]
Ga: 0.0436 0.2374 0.5813 [18 per cell]
Ga: 0.0584 0.2375 0.9225 [18 per cell]
Rh: 0.0000 0.0000 0.5000 [3 per cell]

Principal peaks in the range 2θ from 10° to 90°, low angle first:
d/Å, two_theta, I (rel.), h k l
4.275, 20.78, 45, 0 2 1
4.055, 21.92, 55, 0 1 2
3.403, 26.19, 41, 2 1 1
2.629, 34.11, 58, 2 -1 3
2.311, 38.98, 17, 4 -1 2
2.193, 41.17, 45, 0 3 3
2.125, 42.53, 100, 1 4 0
2.043, 44.34, 33, 4 -2 3
1.729, 52.95, 17, 4 1 3
1.218, 78.52, 21, 1 4 6



(3)
Starting from a DFT-relaxed cell (GGA-PBE, Alexandria), the powder X-ray diffraction pattern of CsIrS2 was simulated for CuKα.
Intensities are scaled so that the largest is 100.

Cell and atoms:
Cell lengths 3.7886, 3.7886, 22.1306 Å; angles 90.00, 90.00, 120.00 degrees
Space group R3m (No. 160, hexagonal axes)
Symmetry-distinct sites (fractional):
Cs: 0.0000 0.0000 0.0000 [3 per cell]
Ir: 0.0000 0.0000 0.8292 [3 per cell]
S: 0.0000 0.0000 0.2120 [3 per cell]
S: 0.0000 0.0000 0.4479 [3 per cell]

Principal peaks in the range 2θ from 10° to 90°, low angle first:
d/Å, two_theta, I (rel.), h k l
7.377, 12.00, 36, 0 0 3
3.688, 24.13, 63, 0 0 6
3.246, 27.48, 80, 1 0 1
3.146, 28.37, 38, 0 1 2
2.636, 34.01, 100, 0 1 5
2.277, 39.59, 32, 1 0 7
1.894, 48.03, 48, 1 1 0
1.835, 49.69, 21, 1 0 10
1.715, 53.42, 24, 0 1 11
1.685, 54.45, 41, 1 1 6



(4)
Starting from a DFT-relaxed cell (GGA-PBE, Alexandria), the powder X-ray diffraction pattern of CdGa6F12 was simulated for CuKα.
Intensities are scaled so that the largest is 100.

Cell and atoms:
Cell lengths 12.8552, 12.8552, 5.6763 Å; angles 90.00, 90.00, 120.00 degrees
Space group R-3 (No. 148, hexagonal axes)
Symmetry-distinct sites (fractional):
Cd: 0.0000 0.0000 0.0000 [3 per cell]
Ga: 0.0708 0.8689 0.7480 [18 per cell]
F: 0.0348 0.4401 0.6038 [18 per cell]
F: 0.0652 0.2268 0.4625 [18 per cell]

Principal peaks in the range 2θ from 10° to 90°, low angle first:
d/Å, two_theta, I (rel.), h k l
6.428, 13.78, 20, 1 1 0
5.057, 17.54, 14, 1 0 1
3.380, 26.37, 100, 3 -1 1
2.499, 35.94, 29, 4 0 1
2.353, 38.25, 15, 1 2 2
2.143, 42.18, 17, 3 3 0
2.090, 43.30, 20, 4 -1 2
1.783, 51.25, 18, 5 2 0
1.686, 54.43, 16, 0 3 3
1.627, 56.58, 15, 1 6 1



(5)
Starting from a DFT-relaxed cell (GGA-PBE, Alexandria), the powder X-ray diffraction pattern of Dy2Sb4Au was simulated for CuKα.
Intensities are scaled so that the largest is 100.

Cell and atoms:
Cell lengths 4.4170, 4.4170, 9.5771 Å; angles 90.00, 90.00, 90.00 degrees
Space group P-4m2 (No. 115)
Symmetry-distinct sites (fractional):
Dy: 0.0000 0.5000 0.2443 [2 per cell]
Sb: 0.0000 0.0000 0.5000 [1 per cell]
Sb: 0.0000 0.5000 0.8320 [2 per cell]
Sb: 0.5000 0.5000 0.5000 [1 per cell]
Au: 0.5000 0.5000 0.0000 [1 per cell]

Principal peaks in the range 2θ from 10° to 90°, low angle first:
d/Å, two_theta, I (rel.), h k l
4.011, 22.16, 19, 1 0 1
3.247, 27.47, 17, 1 0 2
2.616, 34.28, 100, 1 1 2
2.587, 34.67, 17, 1 0 3
2.208, 40.86, 40, 2 0 0
1.757, 52.04, 12, 1 0 5
1.623, 56.70, 13, 2 0 4
1.562, 59.16, 13, 2 2 0
1.341, 70.19, 25, 3 1 2
1.308, 72.26, 11, 2 2 4



(6)
Starting from a DFT-relaxed cell (GGA-PBE, Alexandria), the powder X-ray diffraction pattern of Ba3Tl2Ag was simulated for CuKα.
Intensities are scaled so that the largest is 100.

Cell and atoms:
Cell lengths 4.2745, 4.2745, 12.4995 Å; angles 90.00, 90.00, 90.00 degrees
Space group P4/mmm (No. 123)
Symmetry-distinct sites (fractional):
Ba: 0.0000 0.0000 0.0000 [1 per cell]
Ba: 0.0000 0.0000 0.3376 [2 per cell]
Tl: 0.5000 0.5000 0.1655 [2 per cell]
Ag: 0.5000 0.5000 0.5000 [1 per cell]

Principal peaks in the range 2θ from 10° to 90°, low angle first:
d/Å, two_theta, I (rel.), h k l
3.022, 29.55, 52, 1 1 0
2.984, 29.95, 100, 1 0 3
2.137, 42.29, 20, 2 0 0
1.737, 52.68, 41, 2 1 3
1.715, 53.42, 20, 1 1 6
1.492, 62.23, 12, 2 0 6
1.352, 69.55, 9, 3 1 0
1.140, 85.08, 11, 3 2 3
1.134, 85.67, 10, 3 1 6
1.124, 86.65, 10, 2 1 9



(7)
Starting from a DFT-relaxed cell (GGA-PBE, Alexandria), the powder X-ray diffraction pattern of ScIn4S6 was simulated for CuKα.
Intensities are scaled so that the largest is 100.

Cell and atoms:
Cell lengths 13.0273, 7.8677, 12.7158 Å; angles 90.00, 104.71, 90.00 degrees
Space group Cc (No. 9)
Symmetry-distinct sites (fractional):
Sc: 0.0000 0.1984 0.0000 [4 per cell]
In: 0.0581 0.4301 0.7393 [4 per cell]
In: 0.2282 0.4878 0.5476 [4 per cell]
In: 0.2559 0.1154 0.2826 [4 per cell]
In: 0.3970 0.1674 0.9100 [4 per cell]
S: 0.1097 0.3330 0.3808 [4 per cell]
S: 0.1915 0.2003 0.0691 [4 per cell]
S: 0.2190 0.3056 0.7027 [4 per cell]
S: 0.4119 0.4393 0.0340 [4 per cell]
S: 0.4287 0.0604 0.5797 [4 per cell]
S: 0.4467 0.2847 0.3027 [4 per cell]

Principal peaks in the range 2θ from 10° to 90°, low angle first:
d/Å, two_theta, I (rel.), h k l
6.674, 13.27, 100, 1 1 0
4.860, 18.26, 33, 1 1 -2
4.247, 20.92, 69, 1 1 2
3.747, 23.75, 31, 0 2 1
3.544, 25.13, 90, 3 1 -2
3.340, 26.69, 57, 2 2 -1
3.301, 27.01, 62, 1 1 3
3.147, 28.36, 56, 4 0 -2
3.114, 28.66, 46, 2 2 -2
2.838, 31.52, 47, 0 2 3



(8)
Starting from a DFT-relaxed cell (GGA-PBE, Alexandria), the powder X-ray diffraction pattern of Pm6YEr2Sc was simulated for CuKα.
Intensities are scaled so that the largest is 100.

Cell and atoms:
Cell lengths 9.1925, 15.2633, 9.3766 Å; angles 90.00, 96.16, 90.00 degrees
Space group C2/c (No. 15)
Symmetry-distinct sites (fractional):
Pm: 0.0536 0.1787 0.4486 [8 per cell]
Pm: 0.1011 0.3890 0.6127 [8 per cell]
Pm: 0.2227 0.2175 0.8045 [8 per cell]
Y: 0.0000 0.0255 0.7500 [4 per cell]
Er: 0.2435 0.4488 0.9524 [8 per cell]
Sc: 0.0000 0.4207 0.2500 [4 per cell]

Principal peaks in the range 2θ from 10° to 90°, low angle first:
d/Å, two_theta, I (rel.), h k l
3.140, 28.42, 66, 1 3 2
2.935, 30.46, 65, 3 1 -1
2.895, 30.88, 30, 1 5 0
2.875, 31.10, 100, 2 2 2
2.851, 31.38, 33, 2 4 -1
2.792, 32.06, 23, 1 5 -1
2.739, 32.69, 16, 1 5 1
2.612, 34.34, 35, 1 3 -3
2.456, 36.58, 16, 0 6 1
2.292, 39.30, 13, 1 1 -4



(9)
Starting from a DFT-relaxed cell (GGA-PBE, Alexandria), the powder X-ray diffraction pattern of Sc3SI3 was simulated for CuKα.
Intensities are scaled so that the largest is 100.

Cell and atoms:
Cell lengths 11.4223, 11.4223, 11.4223 Å; angles 90.00, 90.00, 90.00 degrees
Space group I4_132 (No. 214)
Symmetry-distinct sites (fractional):
Sc: 0.0963 0.3463 0.1250 [24 per cell]
S: 0.1250 0.1250 0.1250 [8 per cell]
I: 0.1220 0.1280 0.6250 [24 per cell]

Principal peaks in the range 2θ from 10° to 90°, low angle first:
d/Å, two_theta, I (rel.), h k l
3.297, 27.04, 60, 2 2 2
3.053, 29.26, 27, 3 2 1
2.856, 31.32, 100, 4 0 0
2.019, 44.89, 66, 4 4 0
1.722, 53.19, 35, 6 2 2
1.649, 55.76, 21, 4 4 4
1.310, 72.09, 17, 6 6 2
1.277, 74.27, 23, 8 4 0
1.166, 82.80, 17, 8 4 4
1.099, 89.08, 15, 10 2 2



(10)
Starting from a DFT-relaxed cell (GGA-PBE, Alexandria), the powder X-ray diffraction pattern of Cu2BiTe2 was simulated for CuKα.
Intensities are scaled so that the largest is 100.

Cell and atoms:
Cell lengths 4.5393, 4.5393, 11.3280 Å; angles 90.00, 90.00, 90.00 degrees
Space group I4/mmm (No. 139)
Symmetry-distinct sites (fractional):
Cu: 0.0000 0.0000 0.1072 [4 per cell]
Bi: 0.0000 0.0000 0.5000 [2 per cell]
Te: 0.0000 0.5000 0.2500 [4 per cell]

Principal peaks in the range 2θ from 10° to 90°, low angle first:
d/Å, two_theta, I (rel.), h k l
2.903, 30.80, 34, 1 0 3
2.832, 31.59, 12, 0 0 4
2.793, 32.05, 100, 1 1 2
2.270, 39.71, 42, 2 0 0
2.027, 44.70, 20, 1 0 5
1.788, 51.08, 17, 2 1 3
1.771, 51.61, 12, 2 0 4
1.605, 57.42, 14, 2 2 0
1.512, 61.31, 15, 2 1 5
1.391, 67.29, 24, 3 1 2



(11)
Starting from a DFT-relaxed cell (GGA-PBE, Alexandria), the powder X-ray diffraction pattern of NaIn9Rh2 was simulated for CuKα.
Intensities are scaled so that the largest is 100.

Cell and atoms:
Cell lengths 12.3322, 12.3322, 7.4025 Å; angles 90.00, 90.00, 90.00 degrees
Space group I4_1/amd (No. 141, origin choice 2)
Symmetry-distinct sites (fractional):
Na: 0.0000 0.2500 0.3750 [4 per cell]
In: 0.0000 0.2500 0.8750 [4 per cell]
In: 0.1208 0.0644 0.6747 [32 per cell]
Rh: 0.0000 0.0000 0.0000 [8 per cell]

Principal peaks in the range 2θ from 10° to 90°, low angle first:
d/Å, two_theta, I (rel.), h k l
6.347, 13.95, 36, 1 0 1
2.758, 32.47, 30, 4 2 0
2.685, 33.38, 65, 3 1 2
2.420, 37.16, 16, 1 0 3
2.340, 38.47, 100, 5 0 1
2.252, 40.03, 26, 2 1 3
2.211, 40.81, 24, 4 2 2
1.578, 58.50, 13, 5 5 2
1.498, 61.95, 14, 8 1 1
1.393, 67.22, 17, 5 3 4



(12)
Starting from a DFT-relaxed cell (GGA-PBE, Alexandria), the powder X-ray diffraction pattern of Na2CaP2O7 was simulated for CuKα.
Intensities are scaled so that the largest is 100.

Cell and atoms:
Cell lengths 5.4616, 7.2117, 8.9698 Å; angles 68.97, 89.08, 89.08 degrees
Space group P-1 (No. 2)
Symmetry-distinct sites (fractional):
Na: 0.2287 0.2040 0.0116 [2 per cell]
Na: 0.2616 0.1389 0.4432 [2 per cell]
Ca: 0.2634 0.7514 0.2815 [2 per cell]
P: 0.2136 0.5728 0.6896 [2 per cell]
P: 0.2561 0.8839 0.8266 [2 per cell]
O: 0.0549 0.0046 0.7136 [2 per cell]
O: 0.0597 0.4520 0.3336 [2 per cell]
O: 0.2156 0.8697 0.0000 [2 per cell]
O: 0.2272 0.6525 0.8403 [2 per cell]
O: 0.3340 0.7304 0.5444 [2 per cell]
O: 0.3529 0.3749 0.7526 [2 per cell]
O: 0.4827 0.0545 0.2345 [2 per cell]

Principal peaks in the range 2θ from 10° to 90°, low angle first:
d/Å, two_theta, I (rel.), h k l
4.264, 20.83, 38, 1 1 0
4.218, 21.06, 95, 1 -1 0
4.186, 21.23, 72, 0 0 2
3.254, 27.41, 41, 0 2 2
3.030, 29.48, 69, 1 2 1
2.984, 29.94, 100, 0 1 3
2.730, 32.80, 96, 2 0 0
2.691, 33.29, 79, 1 -1 2
2.392, 37.60, 39, 0 3 1
1.996, 45.43, 35, -2 1 3